# 1
Diffraction record for LiZn2AgWO6. The powder XRD pattern is simulated, not measured: it uses a crystal structure in Alexandria, relaxed with PBE+U and λ = 1.5418 Å (Cu Kα).
Peak positions follow from Bragg's law for the DFT cell and can differ from measured ones.

Structure:
a = 5.459 Å, b = 5.528 Å, c = 5.763 Å
α = 63.90°, β = 71.95°, γ = 61.42°
Fractional coordinates of all 11 atoms:
Li 0.000 0.000 0.000
Zn 0.396 0.363 0.861
Zn 0.981 0.814 0.519
Ag 0.354 0.097 0.509
W 0.693 0.593 0.166
O 0.009 0.682 0.890
O 0.390 0.538 0.453
O 0.411 0.966 0.960
O 0.673 0.396 0.973
O 0.767 0.800 0.318
O 0.955 0.224 0.363

Main lines, sorted by position (2θ from 15° to 90°):
2theta  I/Imax  (hkl)
27.12  86  1 0 -1
30.47  79  0 1 -1
32.22  90  1 -1 0
32.43  100  1 2 1
32.74  53  1 1 -1
33.56  57  0 1 2

# 2
Diffraction record for LiZn2AgWO6. The powder XRD pattern is simulated, not measured: it uses a crystal structure in Alexandria, relaxed with PBE+U and λ = 1.5418 Å (Cu Kα).
Peak positions follow from Bragg's law for the DFT cell and can differ from measured ones.

Structure:
a = 5.701 Å, b = 5.709 Å, c = 5.915 Å
α = 67.75°, β = 65.41°, γ = 68.67°
Fractional coordinates of all 11 atoms:
Li 0.000 0.000 0.000
Zn 0.678 0.969 0.627
Zn 0.758 0.497 0.139
Ag 0.159 0.191 0.435
W 0.427 0.465 0.772
O 0.096 0.628 0.970
O 0.291 0.242 0.703
O 0.531 0.658 0.435
O 0.602 0.648 0.862
O 0.669 0.160 0.884
O 0.894 0.126 0.295

Main lines, sorted by position (2θ from 15° to 90°):
2theta  I/Imax  (hkl)
17.31  72  0 1 0
20.03  58  1 1 1
27.74  53  1 -1 0
28.45  63  1 0 -1
31.75  100  2 1 1
33.39  79  1 0 2